The following is a theoretical powder diffraction line list of Cs2BaV2O6. It was derived from a DFT-relaxed cell (GGA+U, Alexandria), using copper Kα.
Kinematic intensities with the Lorentz-polarization factor, no thermal factor.

Atomic structure:
```
data_Cs2BaV2O6
_chemical_formula_sum 'Cs6 Ba3 V6 O18'
_cell_length_a 6.5686
_cell_length_b 6.5686
_cell_length_c 20.0499
_cell_angle_alpha 90.00
_cell_angle_beta 90.00
_cell_angle_gamma 120.00
_space_group_name_H-M_alt 'R -3 m'
_space_group_IT_number 166
_space_group_name_Hall '-R 3 2"'
loop_
_atom_site_label
_atom_site_fract_x
_atom_site_fract_y
_atom_site_fract_z
_atom_site_occupancy
Cs1 0.0000 0.0000 0.2141 1
Ba1 0.0000 0.0000 0.0000 1
V1 0.0000 0.0000 0.4330 1
O1 0.0348 0.5174 0.2485 1
```

Main lines, by angle (2θ = 10–80°):
- (1 0 4), 2θ = 23.66°, 3.761 Å, I = 21
- (1 1 0), 2θ = 27.18°, 3.281 Å, I = 100
- (0 2 4), 2θ = 36.32°, 2.474 Å, I = 16
- (2 0 5), 2θ = 38.82°, 2.320 Å, I = 17
- (2 1 4), 2θ = 45.93°, 1.976 Å, I = 7
- (3 0 0), 2θ = 48.00°, 1.895 Å, I = 26
- (1 1 9), 2θ = 49.44°, 1.844 Å, I = 18
- (2 2 0), 2θ = 56.00°, 1.642 Å, I = 10
- (3 1 5), 2θ = 63.37°, 1.468 Å, I = 12
- (0 3 9), 2θ = 64.54°, 1.444 Å, I = 8
- (2 2 9), 2θ = 71.35°, 1.322 Å, I = 6
- (4 1 0), 2θ = 76.80°, 1.241 Å, I = 11